Ta2CrO8: simulated powder X-ray diffraction pattern (Cu Ka), based on a crystal structure in the Materials Project, relaxed with GGA+U.
Kinematic intensities with the Lorentz-polarization factor, no thermal factor.

Structural model:
```
data_Ta2CrO8
_chemical_formula_sum 'Ta4 Cr2 O16'
_space_group_name_H-M_alt 'P 1'
_space_group_IT_number 1
_space_group_name_Hall 'P 1'
_cell_length_a 10.3050
_cell_length_b 10.3050
_cell_length_c 4.9821
_cell_angle_alpha 91.80
_cell_angle_beta 91.80
_cell_angle_gamma 32.80
loop_
_atom_site_label
_atom_site_type_symbol
_atom_site_fract_x
_atom_site_fract_y
_atom_site_fract_z
_atom_site_occupancy
Ta1 Ta 0.0739 0.6710 0.7532 1
Ta2 Ta 0.3290 0.9261 0.7468 1
Ta3 Ta 0.6710 0.0739 0.2532 1
Ta4 Ta 0.9261 0.3290 0.2468 1
Cr1 Cr 0.3476 0.6524 0.2500 1
Cr2 Cr 0.6524 0.3476 0.7500 1
O1 O 0.0821 0.2381 0.5756 1
O2 O 0.1079 0.7742 0.0858 1
O3 O 0.2258 0.8921 0.4142 1
O4 O 0.2381 0.0821 0.0756 1
O5 O 0.2417 0.3882 0.8539 1
O6 O 0.3280 0.5706 0.5794 1
O7 O 0.3882 0.2417 0.3539 1
O8 O 0.4294 0.6720 0.9206 1
O9 O 0.5706 0.3280 0.0794 1
O10 O 0.6118 0.7583 0.6461 1
O11 O 0.6720 0.4294 0.4206 1
O12 O 0.7583 0.6118 0.1461 1
O13 O 0.7619 0.9179 0.9244 1
O14 O 0.7742 0.1079 0.5858 1
O15 O 0.8921 0.2258 0.9142 1
O16 O 0.9179 0.7619 0.4244 1
```

Principal peaks in the range 2θ from 10° to 90°, sorted by position:
2θ = 18.0°, I = 100
2θ = 23.8°, I = 36
2θ = 24.1°, I = 38
2θ = 26.9°, I = 74
2θ = 27.5°, I = 65
2θ = 32.3°, I = 33
2θ = 33.2°, I = 28
2θ = 35.8°, I = 39
2θ = 36.1°, I = 25
2θ = 51.3°, I = 24

---

Ta2CrO6: simulated powder X-ray diffraction pattern (Cu Ka), based on a crystal structure in the Materials Project, relaxed with GGA+U.
Kinematic intensities with the Lorentz-polarization factor, no thermal factor.

Structural model:
```
data_Ta2CrO6
_chemical_formula_sum 'Ta4 Cr2 O12'
_space_group_name_H-M_alt 'P 1'
_space_group_IT_number 1
_space_group_name_Hall 'P 1'
_cell_length_a 4.8506
_cell_length_b 4.8506
_cell_length_c 9.2227
_cell_angle_alpha 90.00
_cell_angle_beta 90.00
_cell_angle_gamma 90.00
loop_
_atom_site_label
_atom_site_type_symbol
_atom_site_fract_x
_atom_site_fract_y
_atom_site_fract_z
_atom_site_occupancy
Ta1 Ta 0.0000 0.0000 0.1675 1
Ta2 Ta 0.0000 0.0000 0.8325 1
Ta3 Ta 0.5000 0.5000 0.3325 1
Ta4 Ta 0.5000 0.5000 0.6675 1
Cr1 Cr 0.0000 0.0000 0.5000 1
Cr2 Cr 0.5000 0.5000 0.0000 1
O1 O 0.1837 0.1837 0.0000 1
O2 O 0.2038 0.2038 0.3235 1
O3 O 0.2038 0.2038 0.6765 1
O4 O 0.2962 0.7038 0.1765 1
O5 O 0.2962 0.7038 0.8235 1
O6 O 0.3163 0.6837 0.5000 1
O7 O 0.6837 0.3163 0.5000 1
O8 O 0.7038 0.2962 0.1765 1
O9 O 0.7038 0.2962 0.8235 1
O10 O 0.7962 0.7962 0.3235 1
O11 O 0.7962 0.7962 0.6765 1
O12 O 0.8163 0.8163 0.0000 1
```

Principal peaks in the range 2θ from 10° to 90°, sorted by position:
2θ = 20.7°, I = 31
2θ = 26.0°, I = 100
2θ = 34.5°, I = 77
2θ = 37.1°, I = 25
2θ = 51.6°, I = 64
2θ = 53.4°, I = 16
2θ = 60.3°, I = 16
2θ = 65.2°, I = 19
2θ = 66.7°, I = 14
2θ = 77.4°, I = 14

---

Ta2CrO6: simulated powder X-ray diffraction pattern (Cu Ka), based on a crystal structure in the Materials Project, relaxed with GGA+U.
Kinematic intensities with the Lorentz-polarization factor, no thermal factor.

Structural model:
```
data_Ta2CrO6
_chemical_formula_sum 'Ta4 Cr2 O12'
_space_group_name_H-M_alt 'P 1'
_space_group_IT_number 1
_space_group_name_Hall 'P 1'
_cell_length_a 4.8368
_cell_length_b 4.8368
_cell_length_c 9.2372
_cell_angle_alpha 90.71
_cell_angle_beta 90.71
_cell_angle_gamma 89.88
loop_
_atom_site_label
_atom_site_type_symbol
_atom_site_fract_x
_atom_site_fract_y
_atom_site_fract_z
_atom_site_occupancy
Ta1 Ta 0.0023 0.0023 0.1673 1
Ta2 Ta 0.4955 0.4955 0.6714 1
Ta3 Ta 0.5045 0.5045 0.3286 1
Ta4 Ta 0.9977 0.9977 0.8327 1
Cr1 Cr 0.0000 0.0000 0.5000 1
Cr2 Cr 0.5000 0.5000 0.0000 1
O1 O 0.1881 0.1881 0.9990 1
O2 O 0.1968 0.1968 0.6774 1
O3 O 0.2174 0.2174 0.3117 1
O4 O 0.2864 0.6990 0.8241 1
O5 O 0.3010 0.7136 0.1759 1
O6 O 0.3139 0.6861 0.5000 1
O7 O 0.6861 0.3139 0.5000 1
O8 O 0.6990 0.2864 0.8241 1
O9 O 0.7136 0.3010 0.1759 1
O10 O 0.7826 0.7826 0.6883 1
O11 O 0.8032 0.8032 0.3226 1
O12 O 0.8119 0.8119 0.0010 1
```

Principal peaks in the range 2θ from 10° to 90°, sorted by position:
2θ = 20.8°, I = 15
2θ = 26.1°, I = 100
2θ = 34.3°, I = 40
2θ = 34.7°, I = 38
2θ = 37.2°, I = 24
2θ = 51.2°, I = 16
2θ = 51.5°, I = 16
2θ = 51.8°, I = 16
2θ = 52.1°, I = 16
2θ = 60.5°, I = 16

---

Ta8Cr3O24: simulated powder X-ray diffraction pattern (Cu Ka), based on a crystal structure in the Materials Project, relaxed with GGA+U.
Kinematic intensities with the Lorentz-polarization factor, no thermal factor.

Structural model:
```
data_Ta8Cr3O24
_chemical_formula_sum 'Ta8 Cr3 O24'
_space_group_name_H-M_alt 'P 1'
_space_group_IT_number 1
_space_group_name_Hall 'P 1'
_cell_length_a 6.7709
_cell_length_b 6.7772
_cell_length_c 9.2220
_cell_angle_alpha 90.01
_cell_angle_beta 90.00
_cell_angle_gamma 90.09
loop_
_atom_site_label
_atom_site_type_symbol
_atom_site_fract_x
_atom_site_fract_y
_atom_site_fract_z
_atom_site_occupancy
Ta1 Ta 0.0000 0.0000 0.0000 1
Ta2 Ta 0.0005 0.0002 0.3629 1
Ta3 Ta 0.4992 0.5010 0.0069 1
Ta4 Ta 0.5005 0.0006 0.8366 1
Ta5 Ta 0.4998 0.4978 0.3410 1
Ta6 Ta 0.5005 0.9981 0.5012 1
Ta7 Ta 0.9994 0.5003 0.1814 1
Ta8 Ta 0.9992 0.4999 0.8087 1
Cr1 Cr 0.0004 0.9995 0.6696 1
Cr2 Cr 0.5002 0.9995 0.1694 1
Cr3 Cr 0.5004 0.4994 0.6740 1
O1 O 0.0004 0.1976 0.8442 1
O2 O 0.9997 0.8028 0.1657 1
O3 O 0.9996 0.8095 0.5038 1
O4 O 0.0013 0.1964 0.1657 1
O5 O 0.0019 0.1901 0.5043 1
O6 O 0.1992 0.5004 0.0056 1
O7 O 0.2117 0.5005 0.3163 1
O8 O 0.2133 0.5003 0.6874 1
O9 O 0.3003 0.9986 0.9968 1
O10 O 0.3043 0.9987 0.3421 1
O11 O 0.3090 0.9985 0.6709 1
O12 O 0.4994 0.3000 0.5014 1
O13 O 0.5003 0.2986 0.8429 1
O14 O 0.4997 0.3078 0.1685 1
O15 O 0.5011 0.6979 0.5012 1
O16 O 0.5019 0.6912 0.1688 1
O17 O 0.5019 0.7009 0.8427 1
O18 O 0.6918 0.0003 0.6707 1
O19 O 0.6967 0.0005 0.3423 1
O20 O 0.6998 0.0002 0.9975 1
O21 O 0.7878 0.4986 0.6854 1
O22 O 0.7892 0.4982 0.3170 1
O23 O 0.8032 0.4987 0.0055 1
O24 O 0.9988 0.8018 0.8443 1
```

Principal peaks in the range 2θ from 10° to 90°, sorted by position:
2θ = 16.2°, I = 13
2θ = 20.9°, I = 12
2θ = 23.3°, I = 12
2θ = 26.3°, I = 100
2θ = 34.7°, I = 73
2θ = 37.6°, I = 24
2θ = 52.0°, I = 61
2θ = 54.2°, I = 17
2θ = 61.2°, I = 12
2θ = 65.9°, I = 18

---

Ta8Cr3O24: simulated powder X-ray diffraction pattern (Cu Ka), based on a crystal structure in the Materials Project, relaxed with GGA+U.
Kinematic intensities with the Lorentz-polarization factor, no thermal factor.

Structural model:
```
data_Ta8Cr3O24
_chemical_formula_sum 'Ta8 Cr3 O24'
_space_group_name_H-M_alt 'P 1'
_space_group_IT_number 1
_space_group_name_Hall 'P 1'
_cell_length_a 10.4417
_cell_length_b 10.4417
_cell_length_c 10.4417
_cell_angle_alpha 142.34
_cell_angle_beta 142.15
_cell_angle_gamma 54.47
loop_
_atom_site_label
_atom_site_type_symbol
_atom_site_fract_x
_atom_site_fract_y
_atom_site_fract_z
_atom_site_occupancy
Ta1 Ta 0.0000 0.0000 0.0000 1
Ta2 Ta 0.1624 0.1624 0.0000 1
Ta3 Ta 0.3341 0.3341 0.0000 1
Ta4 Ta 0.4119 0.9119 0.5000 1
Ta5 Ta 0.5106 0.5106 0.0000 1
Ta6 Ta 0.6821 0.6821 0.0000 1
Ta7 Ta 0.7503 0.2503 0.5000 1
Ta8 Ta 0.9198 0.4198 0.5000 1
Cr1 Cr 0.0918 0.5918 0.5000 1
Cr2 Cr 0.5818 0.0818 0.5000 1
Cr3 Cr 0.8345 0.8345 0.0000 1
O1 O 0.0559 0.2533 0.8026 1
O2 O 0.1197 0.9196 0.2001 1
O3 O 0.1560 0.4366 0.2805 1
O4 O 0.1560 0.8755 0.7195 1
O5 O 0.2197 0.4185 0.8013 1
O6 O 0.2745 0.0787 0.1958 1
O7 O 0.3452 0.0595 0.7143 1
O8 O 0.3452 0.6310 0.2857 1
O9 O 0.3867 0.5832 0.8035 1
O10 O 0.4507 0.2533 0.1974 1
O11 O 0.4985 0.1994 0.7009 1
O12 O 0.4985 0.7976 0.2991 1
O13 O 0.5615 0.7522 0.8093 1
O14 O 0.6172 0.4185 0.1987 1
O15 O 0.6702 0.3635 0.6933 1
O16 O 0.6702 0.9769 0.3067 1
O17 O 0.7194 0.9196 0.7999 1
O18 O 0.7797 0.5832 0.1965 1
O19 O 0.8347 0.1443 0.3095 1
O20 O 0.8347 0.5252 0.6905 1
O21 O 0.8830 0.0787 0.8042 1
O22 O 0.9429 0.7522 0.1907 1
O23 O 0.9971 0.2988 0.3017 1
O24 O 0.9971 0.6955 0.6983 1
```

Principal peaks in the range 2θ from 10° to 90°, sorted by position:
2θ = 14.0°, I = 17
2θ = 20.9°, I = 19
2θ = 26.3°, I = 67
2θ = 26.4°, I = 66
2θ = 34.5°, I = 100
2θ = 37.7°, I = 32
2θ = 51.9°, I = 42
2θ = 52.1°, I = 40
2θ = 66.0°, I = 24
2θ = 66.5°, I = 15

---

Ta2CrO6: simulated powder X-ray diffraction pattern (Cu Ka), based on a crystal structure in the Materials Project, relaxed with GGA+U.
Kinematic intensities with the Lorentz-polarization factor, no thermal factor.

Structural model:
```
data_Ta2CrO6
_chemical_formula_sum 'Ta4 Cr2 O12'
_space_group_name_H-M_alt 'P 1'
_space_group_IT_number 1
_space_group_name_Hall 'P 1'
_cell_length_a 4.8181
_cell_length_b 4.8301
_cell_length_c 10.4474
_cell_angle_alpha 90.00
_cell_angle_beta 116.05
_cell_angle_gamma 90.00
loop_
_atom_site_label
_atom_site_type_symbol
_atom_site_fract_x
_atom_site_fract_y
_atom_site_fract_z
_atom_site_occupancy
Ta1 Ta 0.1698 0.0124 0.1680 1
Ta2 Ta 0.1698 0.4876 0.6680 1
Ta3 Ta 0.8302 0.5124 0.3320 1
Ta4 Ta 0.8302 0.9876 0.8320 1
Cr1 Cr 0.5000 0.0000 0.5000 1
Cr2 Cr 0.5000 0.5000 0.0000 1
O1 O 0.1012 0.2272 0.3116 1
O2 O 0.1012 0.2728 0.8116 1
O3 O 0.1871 0.6861 0.5007 1
O4 O 0.1871 0.8139 0.0007 1
O5 O 0.4738 0.1889 0.6765 1
O6 O 0.4738 0.3111 0.1765 1
O7 O 0.5262 0.6889 0.8235 1
O8 O 0.5262 0.8111 0.3235 1
O9 O 0.8129 0.1861 0.9993 1
O10 O 0.8129 0.3139 0.4993 1
O11 O 0.8988 0.7272 0.1884 1
O12 O 0.8988 0.7728 0.6884 1
```

Principal peaks in the range 2θ from 10° to 90°, sorted by position:
2θ = 26.1°, I = 100
2θ = 33.8°, I = 22
2θ = 34.1°, I = 41
2θ = 34.6°, I = 19
2θ = 50.9°, I = 17
2θ = 51.1°, I = 16
2θ = 51.7°, I = 16
2θ = 52.1°, I = 16
2θ = 53.8°, I = 16
2θ = 65.2°, I = 18

---

Ta2CrO6: simulated powder X-ray diffraction pattern (Cu Ka), based on a crystal structure in the Materials Project, relaxed with GGA+U.
Kinematic intensities with the Lorentz-polarization factor, no thermal factor.

Structural model:
```
data_Ta2CrO6
_chemical_formula_sum 'Ta8 Cr4 O24'
_space_group_name_H-M_alt 'P 1'
_space_group_IT_number 1
_space_group_name_Hall 'P 1'
_cell_length_a 4.8266
_cell_length_b 9.6569
_cell_length_c 10.4867
_cell_angle_alpha 116.86
_cell_angle_beta 90.65
_cell_angle_gamma 90.52
loop_
_atom_site_label
_atom_site_type_symbol
_atom_site_fract_x
_atom_site_fract_y
_atom_site_fract_z
_atom_site_occupancy
Ta1 Ta 0.9995 0.1620 0.3290 1
Ta2 Ta 0.0005 0.8380 0.6710 1
Ta3 Ta 0.0059 0.6634 0.3338 1
Ta4 Ta 0.4966 0.3335 0.1674 1
Ta5 Ta 0.4977 0.1700 0.8319 1
Ta6 Ta 0.5023 0.8300 0.1681 1
Ta7 Ta 0.5034 0.6665 0.8326 1
Ta8 Ta 0.9941 0.3366 0.6662 1
Cr1 Cr 0.0000 0.0000 0.0000 1
Cr2 Cr 0.0000 0.5000 0.0000 1
Cr3 Cr 0.5000 0.0000 0.5000 1
Cr4 Cr 0.5000 0.5000 0.5000 1
O1 O 0.1863 0.8460 0.5018 1
O2 O 0.1880 0.3408 0.4979 1
O3 O 0.1932 0.0200 0.8276 1
O4 O 0.2052 0.1872 0.1779 1
O5 O 0.2092 0.5145 0.8092 1
O6 O 0.2134 0.6855 0.1781 1
O7 O 0.2764 0.2024 0.6895 1
O8 O 0.2897 0.7075 0.6885 1
O9 O 0.2964 0.5103 0.3258 1
O10 O 0.3054 0.3484 0.0022 1
O11 O 0.3070 0.0073 0.3204 1
O12 O 0.3254 0.8364 0.9990 1
O13 O 0.6746 0.1636 0.0010 1
O14 O 0.6930 0.9927 0.6796 1
O15 O 0.6946 0.6516 0.9978 1
O16 O 0.7036 0.4897 0.6742 1
O17 O 0.7103 0.2925 0.3115 1
O18 O 0.7236 0.7976 0.3105 1
O19 O 0.7866 0.3145 0.8219 1
O20 O 0.7908 0.4855 0.1908 1
O21 O 0.7948 0.8128 0.8221 1
O22 O 0.8068 0.9800 0.1724 1
O23 O 0.8120 0.6592 0.5021 1
O24 O 0.8137 0.1540 0.4982 1
```

Principal peaks in the range 2θ from 10° to 90°, sorted by position:
2θ = 26.0°, I = 100
2θ = 26.2°, I = 98
2θ = 34.0°, I = 42
2θ = 34.1°, I = 41
2θ = 34.4°, I = 39
2θ = 34.5°, I = 38
2θ = 37.3°, I = 48
2θ = 50.9°, I = 32
2θ = 51.6°, I = 32
2θ = 51.9°, I = 31

---

TaTiCrO6: simulated powder X-ray diffraction pattern (Cu Ka), based on a crystal structure in the Materials Project, relaxed with GGA+U.
Kinematic intensities with the Lorentz-polarization factor, no thermal factor.

Structural model:
```
data_TaTiCrO6
_chemical_formula_sum 'Ta2 Ti2 Cr2 O12'
_space_group_name_H-M_alt 'P 1'
_space_group_IT_number 1
_space_group_name_Hall 'P 1'
_cell_length_a 4.6909
_cell_length_b 4.6909
_cell_length_c 9.0803
_cell_angle_alpha 90.00
_cell_angle_beta 90.00
_cell_angle_gamma 90.00
loop_
_atom_site_label
_atom_site_type_symbol
_atom_site_fract_x
_atom_site_fract_y
_atom_site_fract_z
_atom_site_occupancy
Ta1 Ta 0.0000 0.0000 0.0000 1
Ta2 Ta 0.5000 0.5000 0.5000 1
Ti1 Ti 0.0000 0.0000 0.6641 1
Ti2 Ti 0.5000 0.5000 0.1641 1
Cr1 Cr 0.0000 0.0000 0.3331 1
Cr2 Cr 0.5000 0.5000 0.8331 1
O1 O 0.1937 0.1937 0.8317 1
O2 O 0.1956 0.1956 0.5032 1
O3 O 0.1990 0.1990 0.1632 1
O4 O 0.3010 0.6990 0.6632 1
O5 O 0.3044 0.6956 0.0032 1
O6 O 0.3063 0.6937 0.3317 1
O7 O 0.6937 0.3063 0.3317 1
O8 O 0.6956 0.3044 0.0032 1
O9 O 0.6990 0.3010 0.6632 1
O10 O 0.8010 0.8010 0.1632 1
O11 O 0.8044 0.8044 0.5032 1
O12 O 0.8063 0.8063 0.8317 1
```

Principal peaks in the range 2θ from 10° to 90°, sorted by position:
2θ = 19.6°, I = 20
2θ = 21.3°, I = 63
2θ = 26.9°, I = 100
2θ = 33.5°, I = 22
2θ = 35.3°, I = 69
2θ = 38.4°, I = 19
2θ = 44.3°, I = 20
2θ = 53.1°, I = 63
2θ = 55.4°, I = 16
2θ = 67.4°, I = 19

---

TaZn2CrO6: simulated powder X-ray diffraction pattern (Cu Ka), based on a crystal structure in the Materials Project, relaxed with GGA+U.
Kinematic intensities with the Lorentz-polarization factor, no thermal factor.

Structural model:
```
data_TaZn2CrO6
_chemical_formula_sum 'Ta2 Zn4 Cr2 O12'
_space_group_name_H-M_alt 'P 1'
_space_group_IT_number 1
_space_group_name_Hall 'P 1'
_cell_length_a 5.2386
_cell_length_b 7.6727
_cell_length_c 5.3208
_cell_angle_alpha 90.00
_cell_angle_beta 90.79
_cell_angle_gamma 90.00
loop_
_atom_site_label
_atom_site_type_symbol
_atom_site_fract_x
_atom_site_fract_y
_atom_site_fract_z
_atom_site_occupancy
Ta1 Ta 0.0000 0.0000 0.0000 1
Ta2 Ta 0.0000 0.5000 0.0000 1
Zn1 Zn 0.0128 0.2500 0.4814 1
Zn2 Zn 0.4924 0.7500 0.0474 1
Zn3 Zn 0.5076 0.2500 0.9526 1
Zn4 Zn 0.9872 0.7500 0.5186 1
Cr1 Cr 0.5000 0.0000 0.5000 1
Cr2 Cr 0.5000 0.5000 0.5000 1
O1 O 0.1225 0.2500 0.0621 1
O2 O 0.1726 0.5639 0.3181 1
O3 O 0.1726 0.9361 0.3181 1
O4 O 0.3175 0.5645 0.8220 1
O5 O 0.3175 0.9355 0.8220 1
O6 O 0.3838 0.2500 0.5786 1
O7 O 0.6162 0.7500 0.4214 1
O8 O 0.6825 0.0645 0.1780 1
O9 O 0.6825 0.4355 0.1780 1
O10 O 0.8274 0.0639 0.6819 1
O11 O 0.8274 0.4361 0.6819 1
O12 O 0.8775 0.7500 0.9379 1
```

Principal peaks in the range 2θ from 10° to 90°, sorted by position:
2θ = 16.7°, I = 23
2θ = 16.9°, I = 23
2θ = 33.4°, I = 68
2θ = 33.6°, I = 100
2θ = 34.2°, I = 31
2θ = 47.4°, I = 18
2θ = 59.4°, I = 15
2θ = 59.8°, I = 15
2θ = 60.6°, I = 16
2θ = 61.1°, I = 16

---

Question: Number 5 is which compound?
Answer: Ta8Cr3O24

---

Question: What is the formula in the ninth record?
Answer: TaZn2CrO6